BeTl2CoF6: computed XRD peak list (a wavelength of 1.5418 Å), based on a GGA+U-relaxed structure.
Intensities are scaled so that the largest is 100.

Structure:
Unit cell a=7.772 b=7.768 c=6.171 alpha=90.00 beta=128.94 gamma=90.00
Space group C2/m (No. 12)
One atom of each set of equivalent atoms:
1 Be 0.000 0.000 0.000 x2
2 Tl 0.000 0.250 0.500 x4
3 Co 0.000 0.500 0.000 x2
4 F 0.000 0.227 0.000 x4
5 F 0.205 0.000 0.996 x4
6 F 0.208 0.500 0.412 x4

Principal peaks in the range 10° ≤ 2θ ≤ 80°, low angle first:
hkl  d/Å  I/Imax
0 0 1  4.799  31
0 2 0  3.885  39
2 0 0  3.020  100
2 2 -1  2.747  39
0 0 2  2.400  22
2 2 0  2.384  56
0 2 2  2.042  17
0 4 0  1.942  24
2 2 1  1.807  21
2 4 0  1.634  32